Entry 1:
Simulated PXRD pattern of La2HgTe for copper Kα, from a crystal structure in Alexandria, relaxed with GGA-PBE.
Neutral-atom scattering factors, no anomalous dispersion.

```
data_La2HgTe
_cell_length_a 4.564
_cell_length_b 4.564
_cell_length_c 6.512
_cell_angle_alpha 90.00
_cell_angle_beta 90.00
_cell_angle_gamma 90.00
_symmetry_space_group_name_H-M 'P 4 m m'
_symmetry_Int_Tables_number 99
loop_
_symmetry_equiv_pos_as_xyz
'x,y,z'
'-y,x,z'
'-x,-y,z'
'y,-x,z'
'-x,y,z'
'y,x,z'
'x,-y,z'
'-y,-x,z'
loop_
_atom_site_label
_atom_site_fract_x
_atom_site_fract_y
_atom_site_fract_z
La1 0.000 0.000 0.000
La2 0.500 0.500 0.499
Hg1 0.500 0.500 0.999
Te1 0.000 0.000 0.500
```

Largest 6 diffraction maxima, in order of rising 2θ, 2θ from 10° to 80°:
Position (°2θ)	intensity	index
27.4	51	0 0 2
27.6	100	1 1 0
39.3	79	1 1 2
39.5	39	2 0 0
48.7	42	2 0 2
71.5	27	3 1 2


Entry 2:
Simulated PXRD pattern of La5HgTe4 for copper Kα, from a crystal structure in Alexandria, relaxed with GGA-PBE.
Neutral-atom scattering factors, no anomalous dispersion.

```
data_La5HgTe4
_cell_length_a 10.236
_cell_length_b 10.236
_cell_length_c 6.477
_cell_angle_alpha 90.00
_cell_angle_beta 90.00
_cell_angle_gamma 90.00
_symmetry_space_group_name_H-M 'I 4/m'
_symmetry_Int_Tables_number 87
_symmetry_space_group_name_Hall '-I 4'
loop_
_atom_site_label
_atom_site_fract_x
_atom_site_fract_y
_atom_site_fract_z
La1 0.000 0.000 0.000
La2 0.100 0.702 0.500
Hg1 0.000 0.000 0.500
Te1 0.098 0.698 0.000
```

Largest 6 diffraction maxima, in order of rising 2θ, 2θ from 10° to 80°:
Position (°2θ)	intensity	index
27.6	100	3 1 0
39.4	77	3 1 2
48.7	28	2 4 2
56.9	13	0 0 4
64.3	36	3 1 4
71.4	26	2 4 4


Entry 3:
Simulated PXRD pattern of La3HgTe2 for copper Kα, from a crystal structure in Alexandria, relaxed with GGA-PBE.
Neutral-atom scattering factors, no anomalous dispersion.

```
data_La3HgTe2
_cell_length_a 6.478
_cell_length_b 13.666
_cell_length_c 9.198
_cell_angle_alpha 90.00
_cell_angle_beta 90.10
_cell_angle_gamma 90.00
_symmetry_space_group_name_H-M 'P 1 21/c 1'
_symmetry_Int_Tables_number 14
loop_
_symmetry_equiv_pos_as_xyz
'x,y,z'
'-x,-y,-z'
'-x,y+1/2,-z+1/2'
'x,-y+1/2,z+1/2'
loop_
_atom_site_label
_atom_site_fract_x
_atom_site_fract_y
_atom_site_fract_z
La1 0.248 0.250 0.373
La2 0.251 0.581 0.377
La3 0.251 0.585 0.876
Hg1 0.248 0.086 0.126
Te1 0.249 0.083 0.623
Te2 0.252 0.748 0.126
```

Largest 6 diffraction maxima, in order of rising 2θ, 2θ from 10° to 80°:
Position (°2θ)	intensity	index
27.6	100	2 0 0
39.4	52	2 3 2
48.6	14	2 0 4
48.9	14	2 6 0
56.9	13	4 0 0
64.4	18	4 3 2


Entry 4:
Simulated PXRD pattern of LaTh2Hg for copper Kα, from a crystal structure in Alexandria, relaxed with GGA-PBE.
Neutral-atom scattering factors, no anomalous dispersion.

```
data_LaTh2Hg
_cell_length_a 4.934
_cell_length_b 4.934
_cell_length_c 4.984
_cell_angle_alpha 90.00
_cell_angle_beta 90.00
_cell_angle_gamma 90.00
_symmetry_space_group_name_H-M 'P 4/m m m'
_symmetry_Int_Tables_number 123
_symmetry_space_group_name_Hall '-P 4 2'
loop_
_atom_site_label
_atom_site_fract_x
_atom_site_fract_y
_atom_site_fract_z
La1 0.000 0.000 0.000
Th1 0.000 0.500 0.500
Hg1 0.500 0.500 0.000
```

Largest 6 diffraction maxima, in order of rising 2θ, 2θ from 10° to 80°:
Position (°2θ)	intensity	index
31.3	100	1 1 1
36.0	17	0 0 2
36.4	34	2 0 0
52.2	24	2 0 2
61.9	15	1 1 3
62.4	29	3 1 1


Entry 5:
Simulated PXRD pattern of La3ThHg6 for copper Kα, from a crystal structure in Alexandria, relaxed with GGA-PBE.
Neutral-atom scattering factors, no anomalous dispersion.

```
data_La3ThHg6
_cell_length_a 9.674
_cell_length_b 5.345
_cell_length_c 11.504
_cell_angle_alpha 90.00
_cell_angle_beta 107.72
_cell_angle_gamma 90.00
_symmetry_space_group_name_H-M 'P 1 21/m 1'
_symmetry_Int_Tables_number 11
loop_
_symmetry_equiv_pos_as_xyz
'x,y,z'
'-x,-y,-z'
'-x,y+1/2,-z'
'x,-y+1/2,z'
loop_
_atom_site_label
_atom_site_fract_x
_atom_site_fract_y
_atom_site_fract_z
La1 0.012 0.250 0.382
La2 0.150 0.750 0.215
La3 0.273 0.250 0.987
Th1 0.441 0.250 0.611
Hg1 0.030 0.750 0.916
Hg2 0.161 0.250 0.696
Hg3 0.262 0.750 0.507
Hg4 0.352 0.250 0.310
Hg5 0.363 0.750 0.808
Hg6 0.435 0.750 0.102
```

Largest 6 diffraction maxima, in order of rising 2θ, 2θ from 10° to 80°:
Position (°2θ)	intensity	index
32.4	68	3 1 -1
32.5	33	2 0 -4
33.5	100	0 2 0
47.4	24	2 2 -4
59.3	12	3 3 -1
59.9	13	1 3 3


Entry 6:
Simulated PXRD pattern of La2TiHg2 for copper Kα, from a crystal structure in Alexandria, relaxed with GGA-PBE.
Neutral-atom scattering factors, no anomalous dispersion.

```
data_La2TiHg2
_cell_length_a 7.531
_cell_length_b 7.531
_cell_length_c 4.959
_cell_angle_alpha 90.00
_cell_angle_beta 90.00
_cell_angle_gamma 90.00
_symmetry_space_group_name_H-M 'P 4/m b m'
_symmetry_Int_Tables_number 127
_symmetry_space_group_name_Hall '-P 4 2ab'
loop_
_atom_site_label
_atom_site_fract_x
_atom_site_fract_y
_atom_site_fract_z
La1 0.173 0.327 0.000
Ti1 0.000 0.000 0.500
Hg1 0.141 0.641 0.500
```

Largest 6 diffraction maxima, in order of rising 2θ, 2θ from 10° to 80°:
Position (°2θ)	intensity	index
16.6	14	1 1 0
32.1	100	2 1 1
36.2	19	0 0 2
37.8	20	3 1 0
53.3	15	3 1 2
62.6	15	2 1 3


Entry 7:
Simulated PXRD pattern of La5Tl2Hg for copper Kα, from a crystal structure in Alexandria, relaxed with GGA-PBE.
Neutral-atom scattering factors, no anomalous dispersion.

```
data_La5Tl2Hg
_cell_length_a 6.998
_cell_length_b 13.793
_cell_length_c 5.442
_cell_angle_alpha 90.00
_cell_angle_beta 90.00
_cell_angle_gamma 90.00
_symmetry_space_group_name_H-M 'P b a m'
_symmetry_Int_Tables_number 55
loop_
_symmetry_equiv_pos_as_xyz
'x,y,z'
'-x,-y,-z'
'-x,-y,z'
'x,y,-z'
'x+1/2,-y+1/2,-z'
'-x+1/2,y+1/2,z'
'-x+1/2,y+1/2,-z'
'x+1/2,-y+1/2,z'
loop_
_atom_site_label
_atom_site_fract_x
_atom_site_fract_y
_atom_site_fract_z
La1 0.000 0.000 0.000
La2 0.141 0.277 0.000
La3 0.149 0.603 0.500
Tl1 0.122 0.853 0.500
Hg1 0.000 0.500 0.000
```

Largest 6 diffraction maxima, in order of rising 2θ, 2θ from 10° to 80°:
Position (°2θ)	intensity	index
30.7	100	0 4 1
31.1	84	2 1 1
32.1	27	2 3 0
32.9	54	0 0 2
46.7	25	2 3 2
57.6	26	2 1 3